Diffraction record for Th3Ga2Os2C3. The PXRD pattern is simulated, not measured: it uses DFT lattice parameters and positions (PBE) and Cu Kα X-rays.
Intensities are scaled so that the largest is 100.

Main lines, in order of rising 2θ (5° ≤ 2θ ≤ 70°):
index, 2θ/deg, d_spacing, Rel. int.
1 0 5, 29.42, 3.036, 100.0
1 1 0, 32.68, 2.740, 38.6
1 1 4, 35.92, 2.500, 11.7
1 1 6, 39.64, 2.273, 10.1
1 0 9, 40.57, 2.223, 11.5
2 0 0, 46.89, 1.938, 24.8
1 0 11, 47.16, 1.927, 6.9
1 1 10, 50.02, 1.824, 22.4
2 1 5, 56.33, 1.633, 34.2
2 2 0, 68.48, 1.370, 8.0

Crystal structure
Unit cell a=3.8752 b=3.8752 c=24.4325 alpha=90.00 beta=90.00 gamma=90.00
Space group I4/mmm (No. 139)
Inequivalent atoms, fractional coordinates:
Th: 0.0000 0.0000 0.0000 (multiplicity 2)
Th: 0.0000 0.0000 0.3910 (multiplicity 4)
Ga: 0.0000 0.5000 0.2500 (multiplicity 4)
Os: 0.0000 0.0000 0.1804 (multiplicity 4)
C: 0.0000 0.0000 0.1016 (multiplicity 4)
C: 0.0000 0.0000 0.5000 (multiplicity 2)